1.
Theoretical X-ray powder pattern of ZrB4Ir for copper Kα, from DFT lattice parameters and positions (GGA-PBE).
Peak positions follow from Bragg's law for the DFT cell and can differ from measured ones.

Structure:
Lattice parameters (Å, degrees): 5.931 11.494 3.460 90.00 90.00 90.00
Space group Pbam (No. 55)
Symmetry-distinct sites (fractional):
Zr1 0.127 0.146 0.000 x4
B1 0.034 0.693 0.500 x4
B2 0.118 0.547 0.500 x4
B3 0.130 0.968 0.500 x4
B4 0.196 0.813 0.500 x4
Ir1 0.139 0.400 0.000 x4

Largest 8 diffraction maxima, sorted by position, 2θ = 10–80°:
index, 2θ (°), I/Imax
1 1 0, 16.82, 24
1 2 0, 21.53, 22
0 0 1, 25.75, 76
0 4 0, 31.14, 84
2 3 0, 38.39, 37
0 4 1, 40.83, 100
2 3 1, 46.80, 48
4 0 0, 62.69, 31


2.
Theoretical X-ray powder pattern of KB11 for copper Kα, from DFT lattice parameters and positions (GGA-PBE).
Peak positions follow from Bragg's law for the DFT cell and can differ from measured ones.

Structure:
Lattice parameters (Å, degrees): 13.580 6.799 6.316 90.00 114.43 90.00
Space group Cm (No. 8)
Symmetry-distinct sites (fractional):
K1 0.000 0.000 0.000 x2
K2 0.081 0.500 0.142 x2
B1 0.029 0.500 0.584 x2
B2 0.034 0.000 0.513 x2
B3 0.036 0.247 0.531 x4
B4 0.145 0.369 0.760 x4
B5 0.159 0.122 0.715 x4
B6 0.247 0.241 0.991 x4
B7 0.248 0.500 0.704 x2
B8 0.274 0.259 0.755 x4
B9 0.294 0.245 0.284 x4
B10 0.296 0.363 0.535 x4
B11 0.301 0.000 0.239 x2
B12 0.411 0.375 0.457 x4
B13 0.420 0.125 0.388 x4

Largest 8 diffraction maxima, sorted by position, 2θ = 10–80°:
index, 2θ (°), I/Imax
1 1 0, 14.87, 35
2 0 1, 25.13, 40
2 0 -2, 28.30, 100
2 2 0, 30.00, 67
2 2 -1, 30.93, 49
4 0 -2, 32.60, 42
3 1 1, 34.22, 35
1 1 2, 37.33, 30


3.
Theoretical X-ray powder pattern of KB12 for copper Kα, from DFT lattice parameters and positions (GGA-PBE).
Peak positions follow from Bragg's law for the DFT cell and can differ from measured ones.

Structure:
Lattice parameters (Å, degrees): 5.063 5.063 5.063 90.00 90.00 90.00
Space group Pm-3m (No. 221)
Symmetry-distinct sites (fractional):
K1 0.000 0.000 0.000 x1
B1 0.000 0.256 0.500 x12

Largest 8 diffraction maxima, sorted by position, 2θ = 10–80°:
index, 2θ (°), I/Imax
1 0 0, 17.52, 97
1 1 1, 30.58, 40
2 0 0, 35.46, 52
2 1 0, 39.81, 42
2 1 1, 43.80, 100
3 0 0, 54.36, 20
3 2 1, 69.46, 42
4 0 0, 75.04, 14


4.
Theoretical X-ray powder pattern of K2La2B2O7 for copper Kα, from DFT lattice parameters and positions (GGA-PBE).
Peak positions follow from Bragg's law for the DFT cell and can differ from measured ones.

Structure:
Lattice parameters (Å, degrees): 11.514 6.739 10.953 90.00 117.20 90.00
Space group P2_1/c (No. 14)
Symmetry-distinct sites (fractional):
K1 0.033 0.062 0.264 x4
K2 0.119 0.743 0.056 x4
La1 0.323 0.082 0.917 x4
La2 0.481 0.548 0.180 x4
B1 0.197 0.247 0.089 x4
B2 0.305 0.653 0.854 x4
O1 0.122 0.153 0.964 x4
O2 0.145 0.154 0.664 x4
O3 0.201 0.746 0.860 x4
O4 0.334 0.240 0.137 x4
O5 0.352 0.033 0.413 x4
O6 0.366 0.749 0.785 x4
O7 0.475 0.619 0.599 x4

Largest 8 diffraction maxima, sorted by position, 2θ = 10–80°:
index, 2θ (°), I/Imax
2 1 1, 26.60, 59
1 2 0, 27.87, 43
1 1 -3, 28.06, 100
2 1 -3, 28.22, 49
2 0 2, 30.57, 94
2 2 -1, 30.77, 58
4 0 -2, 31.16, 86
0 3 2, 44.42, 43